Entry 1:
Theoretical powder diffractogram of Nd2Sm2I2Br3N2 for Cu Ka, from a DFT-relaxed cell (GGA-PBE, OQMD).
Intensities are scaled so that the largest is 100.

The 10 most intense peaks (15 to 90 degrees two-theta), in order of rising 2θ:
- 2θ 28.34, d 3.149, rel. 100
- 2θ 30.53, d 2.928, rel. 20
- 2θ 31.70, d 2.823, rel. 98
- 2θ 34.32, d 2.613, rel. 24
- 2θ 35.89, d 2.502, rel. 20
- 2θ 42.79, d 2.113, rel. 40
- 2θ 43.27, d 2.091, rel. 32
- 2θ 47.73, d 1.905, rel. 19
- 2θ 56.44, d 1.630, rel. 20
- 2θ 61.74, d 1.503, rel. 15

abc: 9.8357 9.8357 8.4029
angles: 101.44 101.44 22.34
Sites, in units of the cell vectors:
Nd  0.0000  0.0000  0.1947
Nd  0.0000  0.0000  0.8053
Sm  0.3452  0.3452  0.9219
Sm  0.6548  0.6548  0.0781
I  0.1718  0.1718  0.7889
I  0.8282  0.8282  0.2111
Br  0.1562  0.1562  0.3486
Br  0.5000  0.5000  0.5000
Br  0.8438  0.8438  0.6514
N  0.4637  0.4637  0.9830
N  0.5363  0.5363  0.0170

Entry 2:
Theoretical powder diffractogram of Nd2Y2I2Br3N for Cu Ka, from a DFT-relaxed cell (GGA-PBE, OQMD).
Intensities are scaled so that the largest is 100.

The 10 most intense peaks (15 to 90 degrees two-theta), in order of rising 2θ:
- 2θ 23.33, d 3.813, rel. 18
- 2θ 29.12, d 3.067, rel. 47
- 2θ 31.45, d 2.845, rel. 100
- 2θ 32.67, d 2.741, rel. 15
- 2θ 33.49, d 2.676, rel. 27
- 2θ 33.63, d 2.665, rel. 15
- 2θ 43.20, d 2.094, rel. 28
- 2θ 43.54, d 2.079, rel. 40
- 2θ 46.61, d 1.949, rel. 18
- 2θ 55.90, d 1.645, rel. 14

abc: 9.6091 9.6091 8.3243
angles: 101.83 101.83 23.40
Sites, in units of the cell vectors:
Nd  0.0005  0.0005  0.2969
Nd  0.9995  0.9995  0.7031
Y  0.3723  0.3723  0.4348
Y  0.6277  0.6277  0.5652
I  0.1723  0.1723  0.3169
I  0.8277  0.8277  0.6831
Br  0.1605  0.1605  0.8260
Br  0.5000  0.5000  0.0000
Br  0.8395  0.8395  0.1740
N  0.5000  0.5000  0.5000

Entry 3:
Theoretical powder diffractogram of Pr2IBr2N for Cu Ka, from a DFT-relaxed cell (GGA-PBE, OQMD).
Intensities are scaled so that the largest is 100.

The 10 most intense peaks (15 to 90 degrees two-theta), in order of rising 2θ:
- 2θ 25.02, d 3.559, rel. 32
- 2θ 26.44, d 3.371, rel. 48
- 2θ 30.28, d 2.951, rel. 100
- 2θ 30.92, d 2.892, rel. 40
- 2θ 32.85, d 2.726, rel. 25
- 2θ 34.70, d 2.585, rel. 21
- 2θ 37.17, d 2.419, rel. 20
- 2θ 40.92, d 2.205, rel. 26
- 2θ 41.33, d 2.184, rel. 27
- 2θ 43.75, d 2.069, rel. 26

abc: 9.3364 9.3364 11.9339
angles: 120.81 120.81 25.61
Sites, in units of the cell vectors:
Pr  0.0795  0.0795  0.4571
Pr  0.3676  0.3676  0.2221
Pr  0.6324  0.6324  0.7779
Pr  0.9205  0.9205  0.5429
I  0.1574  0.1574  0.0154
I  0.8426  0.8426  0.9846
Br  0.2826  0.2826  0.3872
Br  0.4550  0.4550  0.7476
Br  0.5450  0.5450  0.2524
Br  0.7174  0.7174  0.6128
N  0.0721  0.0721  0.6488
N  0.9279  0.9279  0.3512

Entry 4:
Theoretical powder diffractogram of SmPuIBr2N for Cu Ka, from a DFT-relaxed cell (GGA-PBE, OQMD).
Intensities are scaled so that the largest is 100.

The 10 most intense peaks (15 to 90 degrees two-theta), in order of rising 2θ:
- 2θ 26.04, d 3.422, rel. 72
- 2θ 27.36, d 3.259, rel. 99
- 2θ 29.92, d 2.987, rel. 63
- 2θ 30.20, d 2.959, rel. 82
- 2θ 31.38, d 2.851, rel. 100
- 2θ 32.86, d 2.726, rel. 41
- 2θ 38.65, d 2.329, rel. 60
- 2θ 40.76, d 2.214, rel. 71
- 2θ 41.65, d 2.169, rel. 51
- 2θ 45.90, d 1.977, rel. 42

abc: 9.6420 9.6420 11.9954
angles: 123.30 123.30 23.67
Sites, in units of the cell vectors:
Sm  0.0752  0.0752  0.4603
Sm  0.9248  0.9248  0.5397
Pu  0.3703  0.3703  0.2256
Pu  0.6297  0.6297  0.7744
I  0.1618  0.1618  0.0129
I  0.8382  0.8382  0.9871
Br  0.2885  0.2885  0.3846
Br  0.4601  0.4601  0.7449
Br  0.5399  0.5399  0.2551
Br  0.7115  0.7115  0.6154
N  0.0741  0.0741  0.6534
N  0.9259  0.9259  0.3466